Entry 1:
This entry pairs a crystal structure of BaMgIn2Au4 with its computed powder X-ray diffraction pattern. Radiation: a wavelength of 1.5418 Å. Structure: the GGA-PBE geometry in Alexandria.

Structural model:
Cell: 4.7798 4.7798 28.8396 Å, 90.00 90.00 120.00°
Space group R-3m (No. 166, hexagonal axes)
Inequivalent atoms, fractional coordinates:
Ba 0.0000 0.0000 0.0000 [3 per cell]
Mg 0.0000 0.0000 0.5000 [3 per cell]
In 0.0000 0.0000 0.2400 [6 per cell]
Au 0.0000 0.0000 0.1387 [6 per cell]
Au 0.0000 0.0000 0.4034 [6 per cell]

Most intense lines, 2θ from 10° to 90°, low angle first:
- (1 0 4), 24.8 deg, rel. 17
- (0 1 5), 26.5 deg, rel. 33
- (1 0 7), 30.6 deg, rel. 40
- (0 1 8), 32.9 deg, rel. 54
- (1 1 0), 37.6 deg, rel. 100
- (0 1 11), 40.7 deg, rel. 37
- (2 0 8), 50.9 deg, rel. 16
- (1 2 8), 65.0 deg, rel. 15
- (3 0 0), 67.9 deg, rel. 18
- (1 2 11), 70.0 deg, rel. 15


Entry 2:
This entry pairs a crystal structure of BaNaIn2Au4 with its computed powder X-ray diffraction pattern. Radiation: a wavelength of 1.5418 Å. Structure: the GGA-PBE geometry in Alexandria.

Structural model:
Cell: 4.8295 4.8295 28.8743 Å, 90.00 90.00 120.00°
Space group R-3m (No. 166, hexagonal axes)
Inequivalent atoms, fractional coordinates:
Ba 0.0000 0.0000 0.0000 [3 per cell]
Na 0.0000 0.0000 0.5000 [3 per cell]
In 0.0000 0.0000 0.2347 [6 per cell]
Au 0.0000 0.0000 0.1298 [6 per cell]
Au 0.0000 0.0000 0.4011 [6 per cell]

Most intense lines, 2θ from 10° to 90°, low angle first:
- (1 0 4), 24.6 deg, rel. 22
- (0 1 5), 26.3 deg, rel. 25
- (1 0 7), 30.4 deg, rel. 23
- (0 1 8), 32.8 deg, rel. 66
- (1 1 0), 37.2 deg, rel. 100
- (0 1 11), 40.6 deg, rel. 36
- (2 0 8), 50.4 deg, rel. 20
- (1 2 8), 64.3 deg, rel. 19
- (3 0 0), 67.1 deg, rel. 18
- (1 2 11), 69.4 deg, rel. 15


Entry 3:
This entry pairs a crystal structure of Ba8InPt2Au with its computed powder X-ray diffraction pattern. Radiation: a wavelength of 1.5418 Å. Structure: the GGA-PBE geometry in Alexandria.

Structural model:
Cell: 7.665 9.672 7.962 Å, 90.00 90.36 90.00°
Space group P2/m (No. 10)
Inequivalent atoms, fractional coordinates:
Ba 0.219 0.000 0.347 [2 per cell]
Ba 0.224 0.500 0.334 [2 per cell]
Ba 0.253 0.264 0.816 [4 per cell]
In 0.500 0.000 0.000 [1 per cell]
Pt 0.000 0.253 0.500 [2 per cell]
Au 0.500 0.500 0.000 [1 per cell]

Most intense lines, 2θ from 10° to 90°, low angle first:
- (1 0 -1), 16.0 deg, rel. 51
- (1 0 1), 16.1 deg, rel. 39
- (1 2 0), 21.7 deg, rel. 28
- (1 2 -1), 24.5 deg, rel. 100
- (1 0 2), 25.3 deg, rel. 22
- (2 2 -1), 31.8 deg, rel. 53
- (2 2 1), 31.9 deg, rel. 33
- (2 0 2), 32.5 deg, rel. 29
- (0 4 0), 37.2 deg, rel. 30
- (0 2 3), 38.7 deg, rel. 53


Entry 4:
This entry pairs a crystal structure of BaSmIn2Au4 with its computed powder X-ray diffraction pattern. Radiation: a wavelength of 1.5418 Å. Structure: the GGA-PBE geometry in Alexandria.

Structural model:
Cell: 4.9123 4.9123 29.1276 Å, 90.00 90.00 120.00°
Space group R-3m (No. 166, hexagonal axes)
Inequivalent atoms, fractional coordinates:
Ba 0.0000 0.0000 0.0000 [3 per cell]
Sm 0.0000 0.0000 0.5000 [3 per cell]
In 0.0000 0.0000 0.2397 [6 per cell]
Au 0.0000 0.0000 0.1235 [6 per cell]
Au 0.0000 0.0000 0.3977 [6 per cell]

Most intense lines, 2θ from 10° to 90°, low angle first:
- (0 1 8), 32.4 deg, rel. 89
- (1 1 0), 36.6 deg, rel. 100
- (1 0 10), 37.4 deg, rel. 15
- (0 1 11), 40.1 deg, rel. 22
- (2 0 8), 49.6 deg, rel. 27
- (1 2 8), 63.2 deg, rel. 26
- (3 0 0), 65.9 deg, rel. 18
- (1 2 11), 68.2 deg, rel. 9
- (2 2 0), 77.8 deg, rel. 11
- (3 1 8), 86.8 deg, rel. 11